K2TiO3F4: computed XRD peak list (Cu Kα X-rays), based on a PBE-relaxed structure.

Atomic structure:
```
data_K2TiO3F4
_chemical_formula_sum 'K16 Ti8 O24 F32'
_symmetry_space_group_name_H-M 'C 1 2/c 1'
_symmetry_Int_Tables_number 15
_symmetry_space_group_name_Hall '-C 2yc'
_cell_length_a 17.6113
_cell_length_b 6.7231
_cell_length_c 12.3320
_cell_angle_alpha 90.00
_cell_angle_beta 117.34
_cell_angle_gamma 90.00
loop_
_atom_site_label
_atom_site_fract_x
_atom_site_fract_y
_atom_site_fract_z
K1 0.0658 0.2447 0.1306
K2 0.1899 0.2647 0.8340
Ti1 0.1710 0.3309 0.5320
O1 0.0283 0.1093 0.8039
O2 0.0828 0.3451 0.5825
O3 0.1092 0.1406 0.5770
F1 0.0968 0.3219 0.3616
F2 0.1573 0.3785 0.0225
F3 0.2320 0.0810 0.5180
F4 0.2373 0.1347 0.3063
```

The 10 most intense peaks (2θ = 15–90°), low angle first:
- hkl 1 1 -1, 15.1°, I = 59
- hkl 0 0 2, 16.2°, I = 55
- hkl 3 1 0, 21.6°, I = 42
- hkl 1 1 -3, 26.0°, I = 92
- hkl 0 2 0, 26.5°, I = 100
- hkl 2 2 -1, 28.6°, I = 40
- hkl 5 1 -1, 29.0°, I = 71
- hkl 4 0 2, 33.7°, I = 42
- hkl 6 0 -4, 35.0°, I = 47
- hkl 2 0 4, 39.6°, I = 82

K2TiO2F4: computed XRD peak list (Cu Kα X-rays), based on a PBE-relaxed structure.

Atomic structure:
```
data_K2TiO2F4
_chemical_formula_sum 'K8 Ti4 O8 F16'
_symmetry_space_group_name_H-M 'C m c m'
_symmetry_Int_Tables_number 63
_symmetry_space_group_name_Hall '-C 2c 2'
_cell_length_a 9.8059
_cell_length_b 8.0962
_cell_length_c 7.6201
_cell_angle_alpha 90.00
_cell_angle_beta 90.00
_cell_angle_gamma 90.00
loop_
_atom_site_label
_atom_site_fract_x
_atom_site_fract_y
_atom_site_fract_z
K1 0.2262 0.2179 0.2500
Ti1 0.0000 0.5000 0.0000
O1 0.0000 0.1690 0.7500
O2 0.0000 0.4505 0.7500
F1 0.0000 0.2709 0.0572
F2 0.1982 0.5000 0.0000
```

The 10 most intense peaks (2θ = 15–90°), low angle first:
- hkl 1 1 2, 27.4°, I = 66
- hkl 2 0 2, 29.7°, I = 61
- hkl 0 2 2, 32.3°, I = 100
- hkl 1 3 0, 34.5°, I = 31
- hkl 4 0 0, 36.7°, I = 82
- hkl 2 2 2, 37.2°, I = 62
- hkl 0 4 0, 44.8°, I = 35
- hkl 3 1 3, 46.7°, I = 29
- hkl 0 0 4, 47.7°, I = 51
- hkl 4 0 4, 61.6°, I = 26